(1)
Simulated powder diffraction line list
Compound: Ho2Er5Al4
Radiation: Cu Ka
Structure: DFT lattice parameters and positions (PBE)
Peak positions follow from Bragg's law for the DFT cell and can differ from measured ones.

Most intense lines, 15 to 90 degrees two-theta, low angle first:
| two_theta | I/Imax |
| --- | --- |
| 27.63 | 100.0 |
| 31.16 | 49.5 |
| 32.91 | 37.2 |
| 34.23 | 94.5 |
| 36.46 | 39.4 |
| 39.62 | 28.0 |
| 43.63 | 33.6 |
| 49.92 | 23.2 |
| 58.12 | 28.9 |
| 66.85 | 24.2 |

Lattice parameters (Å, degrees): 8.673 8.673 8.673 146.98 104.73 84.68
Positions (direct):
1 Ho 0.178 0.178 0.000
2 Ho 0.822 0.822 0.000
3 Er 0.000 0.500 0.500
4 Er 0.150 0.806 0.343
5 Er 0.463 0.806 0.657
6 Er 0.537 0.194 0.343
7 Er 0.850 0.194 0.657
8 Al 0.180 0.000 0.180
9 Al 0.399 0.399 0.000
10 Al 0.601 0.601 0.000
11 Al 0.820 0.000 0.820

(2)
Simulated powder diffraction line list
Compound: Mn2V13
Radiation: Cu Ka
Structure: DFT lattice parameters and positions (PBE)
Peak positions follow from Bragg's law for the DFT cell and can differ from measured ones.

Most intense lines, 15 to 90 degrees two-theta, low angle first:
| two_theta | I/Imax |
| --- | --- |
| 42.80 | 34.2 |
| 43.09 | 100.0 |
| 43.35 | 32.7 |
| 43.70 | 31.8 |
| 62.52 | 9.8 |
| 62.64 | 9.7 |
| 63.01 | 9.6 |
| 78.58 | 14.2 |
| 78.93 | 9.4 |
| 79.62 | 9.0 |

Lattice parameters (Å, degrees): 4.888 6.651 6.659 66.31 81.20 81.69
Positions (direct):
1 Mn 0.134 0.467 0.299
2 Mn 0.866 0.533 0.701
3 V 0.000 0.000 0.500
4 V 0.064 0.728 0.902
5 V 0.196 0.207 0.696
6 V 0.267 0.937 0.099
7 V 0.321 0.664 0.500
8 V 0.414 0.402 0.894
9 V 0.462 0.138 0.301
10 V 0.538 0.862 0.699
11 V 0.586 0.598 0.106
12 V 0.679 0.336 0.500
13 V 0.733 0.063 0.901
14 V 0.804 0.793 0.304
15 V 0.936 0.272 0.098

(3)
Simulated powder diffraction line list
Compound: Na2IrF8
Radiation: Cu Ka
Structure: DFT lattice parameters and positions (PBE)
Peak positions follow from Bragg's law for the DFT cell and can differ from measured ones.

Most intense lines, 15 to 90 degrees two-theta, low angle first:
| two_theta | I/Imax |
| --- | --- |
| 15.25 | 48.9 |
| 16.83 | 100.0 |
| 21.23 | 60.5 |
| 24.60 | 33.0 |
| 26.31 | 23.1 |
| 26.75 | 21.2 |
| 28.37 | 27.0 |
| 30.77 | 25.5 |
| 31.06 | 25.9 |
| 52.13 | 28.9 |

Lattice parameters (Å, degrees): 3.532 6.230 7.949 75.23 83.73 73.68
Positions (direct):
1 Na 0.187 0.478 0.297
2 Na 0.813 0.522 0.703
3 Ir 0.500 0.000 0.000
4 F 0.006 0.918 0.143
5 F 0.300 0.644 0.514
6 F 0.359 0.336 0.889
7 F 0.378 0.151 0.195
8 F 0.622 0.849 0.805
9 F 0.641 0.664 0.111
10 F 0.700 0.356 0.486
11 F 0.994 0.082 0.857

(4)
Simulated powder diffraction line list
Compound: Th3NbPt12
Radiation: Cu Ka
Structure: DFT lattice parameters and positions (PBE)
Peak positions follow from Bragg's law for the DFT cell and can differ from measured ones.

Most intense lines, 15 to 90 degrees two-theta, low angle first:
| two_theta | I/Imax |
| --- | --- |
| 34.31 | 2.3 |
| 37.26 | 100.0 |
| 43.15 | 34.5 |
| 43.58 | 14.7 |
| 62.67 | 11.6 |
| 63.00 | 20.0 |
| 69.90 | 2.7 |
| 75.22 | 26.6 |
| 75.84 | 9.9 |
| 79.43 | 10.4 |

Lattice parameters (Å, degrees): 4.193 4.193 16.613 90.00 90.00 90.00
Positions (direct):
1 Th 0.000 0.000 0.000
2 Th 0.000 0.000 0.257
3 Th 0.000 0.000 0.743
4 Nb 0.000 0.000 0.500
5 Pt 0.000 0.500 0.128
6 Pt 0.000 0.500 0.387
7 Pt 0.000 0.500 0.613
8 Pt 0.000 0.500 0.872
9 Pt 0.500 0.000 0.128
10 Pt 0.500 0.000 0.387
11 Pt 0.500 0.000 0.613
12 Pt 0.500 0.000 0.872
13 Pt 0.500 0.500 0.000
14 Pt 0.500 0.500 0.258
15 Pt 0.500 0.500 0.500
16 Pt 0.500 0.500 0.742

(5)
Simulated powder diffraction line list
Compound: La4SnPd
Radiation: Cu Ka
Structure: DFT lattice parameters and positions (PBE)
Peak positions follow from Bragg's law for the DFT cell and can differ from measured ones.

Most intense lines, 15 to 90 degrees two-theta, low angle first:
| two_theta | I/Imax |
| --- | --- |
| 30.03 | 17.4 |
| 30.14 | 46.3 |
| 30.25 | 14.8 |
| 31.71 | 100.0 |
| 31.88 | 56.5 |
| 32.15 | 45.9 |
| 34.10 | 22.5 |
| 34.49 | 20.2 |
| 36.50 | 28.7 |
| 50.11 | 17.1 |

Lattice parameters (Å, degrees): 5.638 7.282 9.047 90.00 99.40 90.00
Positions (direct):
1 La 0.157 0.250 0.045
2 La 0.214 0.750 0.369
3 La 0.322 0.526 0.730
4 La 0.322 0.974 0.730
5 La 0.678 0.026 0.270
6 La 0.678 0.474 0.270
7 La 0.786 0.250 0.631
8 La 0.843 0.750 0.955
9 Sn 0.224 0.250 0.414
10 Sn 0.776 0.750 0.586
11 Pd 0.349 0.750 0.056
12 Pd 0.651 0.250 0.944

(6)
Simulated powder diffraction line list
Compound: Sm2ThRhN4
Radiation: Cu Ka
Structure: DFT lattice parameters and positions (PBE)
Peak positions follow from Bragg's law for the DFT cell and can differ from measured ones.

Most intense lines, 15 to 90 degrees two-theta, low angle first:
| two_theta | I/Imax |
| --- | --- |
| 27.06 | 59.1 |
| 29.93 | 57.7 |
| 30.16 | 31.9 |
| 30.86 | 100.0 |
| 35.21 | 34.9 |
| 37.65 | 71.4 |
| 43.01 | 20.5 |
| 47.09 | 19.7 |
| 48.82 | 27.4 |
| 52.11 | 19.6 |

Lattice parameters (Å, degrees): 6.216 6.216 11.853 90.00 90.00 147.69
Positions (direct):
1 Sm 0.129 0.871 0.551
2 Sm 0.129 0.871 0.949
3 Sm 0.871 0.129 0.051
4 Sm 0.871 0.129 0.449
5 Th 0.388 0.612 0.750
6 Th 0.612 0.388 0.250
7 Rh 0.350 0.650 0.250
8 Rh 0.650 0.350 0.750
9 N 0.043 0.957 0.750
10 N 0.218 0.782 0.134
11 N 0.218 0.782 0.366
12 N 0.500 0.500 0.000
13 N 0.500 0.500 0.500
14 N 0.782 0.218 0.634
15 N 0.782 0.218 0.866
16 N 0.957 0.043 0.250

(7)
Simulated powder diffraction line list
Compound: LiLa2Tl3
Radiation: Cu Ka
Structure: DFT lattice parameters and positions (PBE)
Peak positions follow from Bragg's law for the DFT cell and can differ from measured ones.

Most intense lines, 15 to 90 degrees two-theta, low angle first:
| two_theta | I/Imax |
| --- | --- |
| 21.02 | 18.1 |
| 23.25 | 11.1 |
| 31.01 | 100.0 |
| 35.42 | 79.3 |
| 42.80 | 12.6 |
| 47.53 | 13.1 |
| 47.78 | 29.3 |
| 60.65 | 33.8 |
| 60.86 | 28.0 |
| 83.11 | 13.1 |

Lattice parameters (Å, degrees): 10.142 9.585 6.346 76.08 66.53 37.40
Positions (direct):
1 Li 0.168 0.168 0.832
2 Li 0.832 0.832 0.168
3 La 0.250 0.250 0.250
4 La 0.255 0.745 0.745
5 La 0.745 0.255 0.255
6 La 0.750 0.750 0.750
7 Tl 0.150 0.674 0.326
8 Tl 0.326 0.326 0.674
9 Tl 0.326 0.850 0.150
10 Tl 0.674 0.150 0.850
11 Tl 0.674 0.674 0.326
12 Tl 0.850 0.326 0.674